Starting from a DFT-relaxed cell (PBE, Alexandria), the powder diffractogram of Th4GaBi2 was simulated for Cu Ka.
No peak broadening, texture or thermal motion is included.

Top 6 peaks for 10° ≤ 2θ ≤ 80°, in order of rising 2θ:
(0 0 2), 2θ = 26.43°, I 46.1
(3 1 -1), 2θ = 26.99°, I 100.0
(3 1 1), 2θ = 34.50°, I 54.5
(6 0 -2), 2θ = 35.09°, I 27.4
(3 1 -3), 2θ = 41.50°, I 36.1
(0 2 0), 2θ = 41.75°, I 20.9

Unit cell a=15.9484 b=4.3274 c=7.5537 alpha=90.00 beta=116.78 gamma=90.00
Space group C2/m (No. 12)
Inequivalent atoms, fractional coordinates:
Th  0.1033  0.0000  0.3012 [4 per cell]
Th  0.1043  0.5000  0.7524 [4 per cell]
Ga  0.0000  0.5000  0.0000 [2 per cell]
Bi  0.2395  0.5000  0.2303 [4 per cell]